(1)
The following is a calculated powder XRD pattern of Pr2Zn4Pt3Rh. It was derived from a structure optimized by DFT (PBE), using Cu Kα (λ = 1.5418 Å).
No peak broadening, texture or thermal motion is included.

Atomic structure:
```
data_Pr2Zn4Pt3Rh
_symmetry_space_group_name_H-M 'P -4 m 2'
_symmetry_Int_Tables_number 115
_symmetry_space_group_name_Hall 'P -4 -2'
_cell_length_a 4.212
_cell_length_b 4.212
_cell_length_c 10.829
_cell_angle_alpha 90.00
_cell_angle_beta 90.00
_cell_angle_gamma 90.00
loop_
_atom_site_label
_atom_site_type_symbol
_atom_site_fract_x
_atom_site_fract_y
_atom_site_fract_z
Pr1 Pr 0.000 0.500 0.237
Zn1 Zn 0.000 0.000 0.500
Zn2 Zn 0.000 0.500 0.871
Zn3 Zn 0.500 0.500 0.500
Pt1 Pt 0.000 0.000 0.000
Pt2 Pt 0.000 0.500 0.640
Rh1 Rh 0.500 0.500 0.000
```

Most intense lines, 10 to 80 degrees two-theta, sorted by position:
2theta  d (Å)  Rel. int.
26.82  3.325  24.9
32.67  2.741  56.3
34.36  2.610  100.0
42.94  2.106  66.0
45.27  2.003  32.6
47.19  1.926  35.6
54.98  1.670  25.7
65.69  1.421  26.3



(2)
The following is a calculated powder XRD pattern of PrPtS. It was derived from a structure optimized by DFT (PBE), using Cu Kα (λ = 1.5418 Å).
No peak broadening, texture or thermal motion is included.

Atomic structure:
```
data_PrPtS
_symmetry_space_group_name_H-M 'C m c m'
_symmetry_Int_Tables_number 63
_symmetry_space_group_name_Hall '-C 2c 2'
_cell_length_a 4.261
_cell_length_b 10.826
_cell_length_c 5.610
_cell_angle_alpha 90.00
_cell_angle_beta 90.00
_cell_angle_gamma 90.00
loop_
_atom_site_label
_atom_site_type_symbol
_atom_site_fract_x
_atom_site_fract_y
_atom_site_fract_z
Pr1 Pr 0.000 0.135 0.250
Pt1 Pt 0.000 0.432 0.250
S1 S 0.000 0.166 0.750
```

Most intense lines, 10 to 80 degrees two-theta, sorted by position:
2theta  d (Å)  Rel. int.
27.55  3.238  72.2
31.91  2.805  68.9
32.52  2.754  41.6
36.34  2.472  100.0
36.88  2.438  26.9
42.43  2.130  31.4
46.20  1.965  30.8
54.05  1.697  30.9



(3)
The following is a calculated powder XRD pattern of Pr7PtS5. It was derived from a structure optimized by DFT (PBE), using Cu Kα (λ = 1.5418 Å).
No peak broadening, texture or thermal motion is included.

Atomic structure:
```
data_Pr7PtS5
_symmetry_space_group_name_H-M 'P 1 21/m 1'
_symmetry_Int_Tables_number 11
_symmetry_space_group_name_Hall '-P 2yb'
_cell_length_a 4.049
_cell_length_b 24.702
_cell_length_c 7.075
_cell_angle_alpha 90.00
_cell_angle_beta 106.55
_cell_angle_gamma 90.00
loop_
_atom_site_label
_atom_site_type_symbol
_atom_site_fract_x
_atom_site_fract_y
_atom_site_fract_z
Pr1 Pr 0.040 0.250 0.079
Pr2 Pr 0.137 0.536 0.275
Pr3 Pr 0.308 0.177 0.616
Pr4 Pr 0.412 0.606 0.825
Pt1 Pt 0.301 0.750 0.602
S1 S 0.048 0.643 0.098
S2 S 0.226 0.071 0.451
S3 S 0.500 0.000 0.000
```

Most intense lines, 10 to 80 degrees two-theta, sorted by position:
2theta  d (Å)  Rel. int.
27.14  3.285  29.8
28.51  3.131  100.0
29.27  3.051  38.1
30.51  2.930  92.5
31.59  2.832  67.6
44.05  2.056  25.3
44.77  2.024  30.8
53.93  1.700  48.5



(4)
The following is a calculated powder XRD pattern of PrSb2Pt4. It was derived from a structure optimized by DFT (PBE), using Cu Kα (λ = 1.5418 Å).
No peak broadening, texture or thermal motion is included.

Atomic structure:
```
data_PrSb2Pt4
_symmetry_space_group_name_H-M 'P 1 21/c 1'
_symmetry_Int_Tables_number 14
_symmetry_space_group_name_Hall '-P 2ybc'
_cell_length_a 4.715
_cell_length_b 7.358
_cell_length_c 17.103
_cell_angle_alpha 90.00
_cell_angle_beta 90.75
_cell_angle_gamma 90.00
loop_
_atom_site_label
_atom_site_type_symbol
_atom_site_fract_x
_atom_site_fract_y
_atom_site_fract_z
Pr1 Pr 0.237 0.017 0.355
Sb1 Sb 0.272 0.540 0.297
Sb2 Sb 0.278 0.738 0.530
Pt1 Pt 0.040 0.076 0.077
Pt2 Pt 0.251 0.690 0.689
Pt3 Pt 0.260 0.104 0.528
Pt4 Pt 0.262 0.242 0.702
```

Most intense lines, 10 to 80 degrees two-theta, sorted by position:
2theta  d (Å)  Rel. int.
31.26  2.861  68.6
32.68  2.740  99.3
37.07  2.425  99.7
37.61  2.391  73.9
38.18  2.357  100.0
38.84  2.319  62.5
40.62  2.221  62.6
42.95  2.106  73.8



(5)
The following is a calculated powder XRD pattern of Pr3Sb4Pt7. It was derived from a structure optimized by DFT (PBE), using Cu Kα (λ = 1.5418 Å).
No peak broadening, texture or thermal motion is included.

Atomic structure:
```
data_Pr3Sb4Pt7
_symmetry_space_group_name_H-M 'C 1 2/m 1'
_symmetry_Int_Tables_number 12
_symmetry_space_group_name_Hall '-C 2y'
_cell_length_a 16.820
_cell_length_b 4.337
_cell_length_c 10.557
_cell_angle_alpha 90.00
_cell_angle_beta 128.71
_cell_angle_gamma 90.00
loop_
_atom_site_label
_atom_site_type_symbol
_atom_site_fract_x
_atom_site_fract_y
_atom_site_fract_z
Pr1 Pr 0.000 0.000 0.000
Pr2 Pr 0.171 0.500 0.684
Sb1 Sb 0.139 0.000 0.409
Sb2 Sb 0.173 0.500 0.027
Pt1 Pt 0.000 0.000 0.500
Pt2 Pt 0.016 0.500 0.319
Pt3 Pt 0.122 0.000 0.846
Pt4 Pt 0.170 0.500 0.272
```

Most intense lines, 10 to 80 degrees two-theta, sorted by position:
2theta  d (Å)  Rel. int.
33.70  2.660  100.0
35.59  2.522  23.4
40.16  2.246  14.1
40.58  2.223  23.2
41.27  2.187  19.5
41.65  2.168  36.3
43.03  2.102  21.9
43.84  2.065  16.0



(6)
The following is a calculated powder XRD pattern of Pr2Zn3SbPt4. It was derived from a structure optimized by DFT (PBE), using Cu Kα (λ = 1.5418 Å).
No peak broadening, texture or thermal motion is included.

Atomic structure:
```
data_Pr2Zn3SbPt4
_symmetry_space_group_name_H-M 'P -4 m 2'
_symmetry_Int_Tables_number 115
_symmetry_space_group_name_Hall 'P -4 -2'
_cell_length_a 4.314
_cell_length_b 4.314
_cell_length_c 10.835
_cell_angle_alpha 90.00
_cell_angle_beta 90.00
_cell_angle_gamma 90.00
loop_
_atom_site_label
_atom_site_type_symbol
_atom_site_fract_x
_atom_site_fract_y
_atom_site_fract_z
Pr1 Pr 0.000 0.500 0.240
Zn1 Zn 0.000 0.500 0.872
Zn2 Zn 0.500 0.500 0.500
Sb1 Sb 0.000 0.000 0.500
Pt1 Pt 0.000 0.000 0.000
Pt2 Pt 0.000 0.500 0.643
Pt3 Pt 0.500 0.500 0.000
```

Most intense lines, 10 to 80 degrees two-theta, sorted by position:
2theta  d (Å)  Rel. int.
32.33  2.769  36.9
33.72  2.658  100.0
41.88  2.157  59.1
44.74  2.026  31.9
46.92  1.936  25.2
60.72  1.525  19.7
64.69  1.441  19.2
71.28  1.323  22.8



(7)
The following is a calculated powder XRD pattern of PrPtSe. It was derived from a structure optimized by DFT (PBE), using Cu Kα (λ = 1.5418 Å).
No peak broadening, texture or thermal motion is included.

Atomic structure:
```
data_PrPtSe
_symmetry_space_group_name_H-M 'C m c m'
_symmetry_Int_Tables_number 63
_symmetry_space_group_name_Hall '-C 2c 2'
_cell_length_a 4.394
_cell_length_b 11.066
_cell_length_c 5.787
_cell_angle_alpha 90.00
_cell_angle_beta 90.00
_cell_angle_gamma 90.00
loop_
_atom_site_label
_atom_site_type_symbol
_atom_site_fract_x
_atom_site_fract_y
_atom_site_fract_z
Pr1 Pr 0.000 0.129 0.250
Pt1 Pt 0.000 0.443 0.250
Se1 Se 0.000 0.173 0.750
```

Most intense lines, 10 to 80 degrees two-theta, sorted by position:
2theta  d (Å)  Rel. int.
26.72  3.337  27.6
30.91  2.893  83.3
31.67  2.825  70.8
35.36  2.539  100.0
41.08  2.197  38.5
44.84  2.021  54.1
52.28  1.750  38.3
57.89  1.593  24.4



(8)
The following is a calculated powder XRD pattern of Pr3Si4Pt2. It was derived from a structure optimized by DFT (PBE), using Cu Kα (λ = 1.5418 Å).
No peak broadening, texture or thermal motion is included.

Atomic structure:
```
data_Pr3Si4Pt2
_symmetry_space_group_name_H-M 'C 1 2/m 1'
_symmetry_Int_Tables_number 12
_symmetry_space_group_name_Hall '-C 2y'
_cell_length_a 11.192
_cell_length_b 4.226
_cell_length_c 8.571
_cell_angle_alpha 90.00
_cell_angle_beta 110.24
_cell_angle_gamma 90.00
loop_
_atom_site_label
_atom_site_type_symbol
_atom_site_fract_x
_atom_site_fract_y
_atom_site_fract_z
Pr1 Pr 0.000 0.000 0.000
Pr2 Pr 0.112 0.500 0.686
Si1 Si 0.134 0.000 0.421
Si2 Si 0.229 0.500 0.062
Pt1 Pt 0.171 0.500 0.309
```

Most intense lines, 10 to 80 degrees two-theta, sorted by position:
2theta  d (Å)  Rel. int.
26.55  3.357  67.4
29.70  3.008  68.6
33.23  2.696  100.0
33.43  2.681  70.1
33.70  2.659  64.0
39.63  2.274  50.9
40.65  2.219  52.3
42.80  2.113  51.3



Copy entry 3 word for word.
The following is a calculated powder XRD pattern of Pr7PtS5. It was derived from a structure optimized by DFT (PBE), using Cu Kα (λ = 1.5418 Å).
No peak broadening, texture or thermal motion is included.

Atomic structure:
```
data_Pr7PtS5
_symmetry_space_group_name_H-M 'P 1 21/m 1'
_symmetry_Int_Tables_number 11
_symmetry_space_group_name_Hall '-P 2yb'
_cell_length_a 4.049
_cell_length_b 24.702
_cell_length_c 7.075
_cell_angle_alpha 90.00
_cell_angle_beta 106.55
_cell_angle_gamma 90.00
loop_
_atom_site_label
_atom_site_type_symbol
_atom_site_fract_x
_atom_site_fract_y
_atom_site_fract_z
Pr1 Pr 0.040 0.250 0.079
Pr2 Pr 0.137 0.536 0.275
Pr3 Pr 0.308 0.177 0.616
Pr4 Pr 0.412 0.606 0.825
Pt1 Pt 0.301 0.750 0.602
S1 S 0.048 0.643 0.098
S2 S 0.226 0.071 0.451
S3 S 0.500 0.000 0.000
```

Most intense lines, 10 to 80 degrees two-theta, sorted by position:
2theta  d (Å)  Rel. int.
27.14  3.285  29.8
28.51  3.131  100.0
29.27  3.051  38.1
30.51  2.930  92.5
31.59  2.832  67.6
44.05  2.056  25.3
44.77  2.024  30.8
53.93  1.700  48.5